# 1
Theoretical PXRD pattern
Compound: Ba2Na3NbN4
Radiation: Cu Kα, 1.54184 Å
Structure: a structure optimized by DFT (PBE)
Intensities are scaled so that the largest is 100.

Structural model:
Unit cell a=11.982 b=6.022 c=11.519 alpha=90.00 beta=120.23 gamma=90.00
Space group C2/c (No. 15)
Symmetry-distinct sites (fractional):
Ba: 0.195 0.045 0.114 x8
Na: 0.000 0.436 0.250 x4
Na: 0.122 0.432 0.525 x8
Nb: 0.000 0.060 0.750 x4
N: 0.001 0.247 0.608 x8
N: 0.155 0.133 0.328 x8

Top 6 peaks for 10° ≤ 2θ ≤ 90°, sorted by position:
2theta, d [Å], I_rel
17.05, 5.200, 75
27.24, 3.274, 46
27.76, 3.213, 100
29.67, 3.011, 44
29.84, 2.995, 82
31.07, 2.879, 64

---

# 2
Theoretical PXRD pattern
Compound: Gd2ZnSb2
Radiation: Cu Kα, 1.54184 Å
Structure: a structure optimized by DFT (PBE)
Intensities are scaled so that the largest is 100.

Structural model:
Unit cell a=4.384 b=18.464 c=6.530 alpha=90.00 beta=90.00 gamma=90.00
Space group Cmc2_1 (No. 36)
Symmetry-distinct sites (fractional):
Gd: 0.000 0.007 0.000 x4
Gd: 0.000 0.204 0.708 x4
Zn: 0.000 0.408 0.806 x4
Sb: 0.000 0.172 0.208 x4
Sb: 0.000 0.411 0.237 x4

Top 6 peaks for 10° ≤ 2θ ≤ 90°, sorted by position:
2theta, d [Å], I_rel
29.01, 3.078, 32
31.68, 2.824, 100
34.60, 2.593, 29
37.32, 2.410, 52
41.19, 2.192, 30
66.13, 1.413, 24

---

# 3
Theoretical PXRD pattern
Compound: TbYTa2Ge2
Radiation: Cu Kα, 1.54184 Å
Structure: a structure optimized by DFT (PBE)
Intensities are scaled so that the largest is 100.

Structural model:
Unit cell a=4.034 b=4.034 c=7.870 alpha=90.00 beta=90.00 gamma=90.00
Space group P4mm (No. 99)
Symmetry-distinct sites (fractional):
Tb: 0.000 0.000 0.000 x1
Y: 0.500 0.500 0.298 x1
Ta: 0.000 0.500 0.649 x2
Ge: 0.000 0.000 0.403 x1
Ge: 0.500 0.500 0.894 x1

Top 6 peaks for 10° ≤ 2θ ≤ 90°, sorted by position:
2theta, d [Å], I_rel
11.24, 7.870, 59
33.41, 2.682, 100
34.18, 2.623, 31
39.00, 2.310, 89
44.94, 2.017, 50
57.64, 1.599, 28

---

# 4
Theoretical PXRD pattern
Compound: Lu2Ni2SbAs
Radiation: Cu Kα, 1.54184 Å
Structure: a structure optimized by DFT (PBE)
Intensities are scaled so that the largest is 100.

Structural model:
Unit cell a=10.627 b=4.339 c=10.629 alpha=90.00 beta=109.48 gamma=90.00
Space group Pm (No. 6)
Symmetry-distinct sites (fractional):
Lu: 0.000 0.000 0.000 x1
Lu: 0.116 0.500 0.374 x1
Lu: 0.238 0.000 0.754 x1
Lu: 0.362 0.500 0.121 x1
Lu: 0.485 0.000 0.494 x1
Lu: 0.610 0.500 0.880 x1
Lu: 0.741 0.000 0.251 x1
Lu: 0.876 0.500 0.626 x1
Ni: 0.119 0.500 0.125 x1
Ni: 0.235 0.000 0.498 x1
Ni: 0.363 0.500 0.877 x1
Ni: 0.486 0.000 0.244 x1
Ni: 0.617 0.500 0.625 x1
Ni: 0.740 0.000 0.001 x1
Ni: 0.870 0.500 0.378 x1
Ni: 0.994 0.000 0.750 x1
Sb: 0.364 0.500 0.625 x1
Sb: 0.615 0.500 0.375 x1
Sb: 0.740 0.000 0.750 x1
Sb: 0.867 0.500 0.124 x1
As: 0.118 0.500 0.876 x1
As: 0.241 0.000 0.248 x1
As: 0.489 0.000 0.001 x1
As: 0.993 0.000 0.500 x1

Top 6 peaks for 10° ≤ 2θ ≤ 90°, sorted by position:
2theta, d [Å], I_rel
25.14, 3.543, 22
29.11, 3.068, 49
41.63, 2.169, 100
60.34, 1.534, 16
68.37, 1.372, 18
75.98, 1.253, 33

---

# 5
Theoretical PXRD pattern
Compound: BaSr2TcO6
Radiation: Cu Kα, 1.54184 Å
Structure: a structure optimized by DFT (PBE)
Intensities are scaled so that the largest is 100.

Structural model:
Unit cell a=5.939 b=6.059 c=10.286 alpha=90.00 beta=124.74 gamma=90.00
Space group Pc (No. 7)
Symmetry-distinct sites (fractional):
Ba: 0.000 0.222 0.000 x2
Sr: 0.483 0.304 0.501 x2
Sr: 0.745 0.240 0.251 x2
Tc: 0.243 0.251 0.749 x2
O: 0.021 0.444 0.783 x2
O: 0.133 0.017 0.302 x2
O: 0.390 0.491 0.206 x2
O: 0.463 0.079 0.702 x2
O: 0.533 0.282 0.971 x2
O: 0.927 0.227 0.530 x2

Top 6 peaks for 10° ≤ 2θ ≤ 90°, sorted by position:
2theta, d [Å], I_rel
29.48, 3.030, 47
29.74, 3.004, 100
29.94, 2.984, 99
30.10, 2.969, 48
42.64, 2.121, 50
53.47, 1.714, 33

---

# 6
Theoretical PXRD pattern
Compound: Gd2Zn17
Radiation: Cu Kα, 1.54184 Å
Structure: a structure optimized by DFT (PBE)
Intensities are scaled so that the largest is 100.

Structural model:
Unit cell a=8.9602 b=8.9602 c=8.7472 alpha=90.00 beta=90.00 gamma=120.00
Space group P6_3/mmc (No. 194)
Symmetry-distinct sites (fractional):
Gd: 0.0000 0.0000 0.2500 x2
Gd: 0.3333 0.6667 0.2500 x2
Zn: 0.0000 0.5000 0.0000 x6
Zn: 0.0388 0.3678 0.7500 x12
Zn: 0.1617 0.3235 0.0211 x12
Zn: 0.3333 0.6667 0.6015 x4

Top 6 peaks for 10° ≤ 2θ ≤ 90°, sorted by position:
2theta, d [Å], I_rel
34.68, 2.587, 39
38.63, 2.331, 38
40.26, 2.240, 59
40.52, 2.226, 100
41.28, 2.187, 32
45.49, 1.994, 29